[1]
# NaCeTiNbO6F
Simulated XRD peak list, Cu Kα (λ = 1.5418 Å). Input: a structure optimized by DFT (GGA-PBE).
Intensities are scaled so that the largest is 100.

Structure:
a = 7.380 Å, b = 7.380 Å, c = 10.484 Å
α = 90.00°, β = 90.00°, γ = 90.00°
Fractional coordinates of all 44 atoms:
Na (0.000, 0.228, 0.000)
Na (0.000, 0.772, 0.500)
Na (0.228, 0.000, 0.750)
Na (0.772, 0.000, 0.250)
Ce (0.228, 0.500, 0.750)
Ce (0.500, 0.228, 0.000)
Ce (0.500, 0.772, 0.500)
Ce (0.772, 0.500, 0.250)
Ti (0.264, 0.500, 0.250)
Ti (0.500, 0.264, 0.500)
Ti (0.500, 0.736, 0.000)
Ti (0.736, 0.500, 0.750)
Nb (0.000, 0.258, 0.500)
Nb (0.000, 0.742, 0.000)
Nb (0.258, 0.000, 0.250)
Nb (0.742, 0.000, 0.750)
O (0.056, 0.449, 0.368)
O (0.056, 0.551, 0.132)
O (0.063, 0.063, 0.375)
O (0.063, 0.937, 0.125)
O (0.251, 0.274, 0.572)
O (0.251, 0.726, 0.928)
O (0.274, 0.251, 0.178)
O (0.274, 0.749, 0.322)
O (0.449, 0.056, 0.382)
O (0.449, 0.944, 0.118)
O (0.459, 0.459, 0.375)
O (0.459, 0.541, 0.125)
O (0.541, 0.459, 0.625)
O (0.541, 0.541, 0.875)
O (0.551, 0.056, 0.618)
O (0.551, 0.944, 0.882)
O (0.726, 0.251, 0.822)
O (0.726, 0.749, 0.678)
O (0.749, 0.274, 0.428)
O (0.749, 0.726, 0.072)
O (0.937, 0.063, 0.625)
O (0.937, 0.937, 0.875)
O (0.944, 0.449, 0.632)
O (0.944, 0.551, 0.868)
F (0.238, 0.238, 0.875)
F (0.238, 0.762, 0.625)
F (0.762, 0.238, 0.125)
F (0.762, 0.762, 0.375)

Top 6 peaks for 5 to 70 degrees two-theta, by angle:
| d/Å | Position (°2θ) | intensity |
| --- | --- | --- |
| 4.672 | 19.00 | 42 |
| 3.017 | 29.61 | 100 |
| 2.609 | 34.37 | 16 |
| 1.849 | 49.28 | 33 |
| 1.845 | 49.40 | 16 |
| 1.574 | 58.65 | 25 |

---

[2]
# Rb2NaCeF6
Simulated XRD peak list, Cu Kα (λ = 1.5418 Å). Input: a structure optimized by DFT (GGA-PBE).
Intensities are scaled so that the largest is 100.

Structure:
a = 6.521 Å, b = 6.521 Å, c = 6.521 Å
α = 60.00°, β = 60.00°, γ = 60.00°
Fractional coordinates of all 10 atoms:
Rb (0.250, 0.250, 0.250)
Rb (0.750, 0.750, 0.750)
Na (0.000, 0.000, 0.000)
Ce (0.500, 0.500, 0.500)
F (0.251, 0.251, 0.749)
F (0.251, 0.749, 0.251)
F (0.251, 0.749, 0.749)
F (0.749, 0.251, 0.251)
F (0.749, 0.251, 0.749)
F (0.749, 0.749, 0.251)

Top 6 peaks for 5 to 70 degrees two-theta, by angle:
| d/Å | Position (°2θ) | intensity |
| --- | --- | --- |
| 5.325 | 16.65 | 33 |
| 3.261 | 27.35 | 100 |
| 2.781 | 32.19 | 19 |
| 2.306 | 39.07 | 45 |
| 1.883 | 48.35 | 42 |
| 1.630 | 56.44 | 28 |

---

What is the formula in the first record?
NaCeTiNbO6F